(1)
Starting from a structure optimized by DFT (GGA-PBE), the powder diffraction line list of SrPm2NpO8 was simulated for CuKα.
Peak positions follow from Bragg's law for the DFT cell and can differ from measured ones.

a = 4.0832 Å, b = 7.8630 Å, c = 5.4276 Å
α = 90.00°, β = 95.06°, γ = 90.00°
Atoms (fractional coordinates):
Sr 0.0000 0.0000 0.0000
Pm 0.5000 0.2622 0.5000
Pm 0.5000 0.7378 0.5000
Np 0.0000 0.5000 0.0000
O 0.0365 0.2958 0.7635
O 0.0365 0.7042 0.7635
O 0.4446 0.5000 0.2216
O 0.4900 0.0000 0.7122
O 0.5100 0.0000 0.2878
O 0.5554 0.5000 0.7784
O 0.9635 0.2958 0.2365
O 0.9635 0.7042 0.2365

Peak list (12 most intense, 10 to 90 degrees two-theta, in order of falling intensity)
2theta	I (rel.)
28.1	100
26.2	62
28.6	58
31.7	48
45.0	40
11.3	37
48.0	32
53.9	25
33.1	21
44.6	21
52.1	19
46.2	19

(2)
Starting from a structure optimized by DFT (GGA-PBE), the powder diffraction line list of Sr3Ga3Ni2 was simulated for CuKα.
Peak positions follow from Bragg's law for the DFT cell and can differ from measured ones.

a = 8.0651 Å, b = 15.3650 Å, c = 6.1971 Å
α = 90.00°, β = 90.00°, γ = 90.00°
Atoms (fractional coordinates):
Sr 0.0405 0.1059 0.1257
Sr 0.0405 0.3941 0.1257
Sr 0.1888 0.2500 0.6238
Sr 0.3112 0.7500 0.1238
Sr 0.4595 0.6059 0.6257
Sr 0.4595 0.8941 0.6257
Sr 0.5405 0.1059 0.3743
Sr 0.5405 0.3941 0.3743
Sr 0.6888 0.2500 0.8762
Sr 0.8112 0.7500 0.3762
Sr 0.9595 0.6059 0.8743
Sr 0.9595 0.8941 0.8743
Ga 0.1590 0.7500 0.5852
Ga 0.1684 0.0404 0.6204
Ga 0.1684 0.4596 0.6204
Ga 0.3316 0.5404 0.1204
Ga 0.3316 0.9596 0.1204
Ga 0.3410 0.2500 0.0852
Ga 0.6590 0.7500 0.9148
Ga 0.6684 0.0404 0.8796
Ga 0.6684 0.4596 0.8796
Ga 0.8316 0.5404 0.3796
Ga 0.8316 0.9596 0.3796
Ga 0.8410 0.2500 0.4148
Ni 0.1221 0.5927 0.3883
Ni 0.1221 0.9073 0.3883
Ni 0.3779 0.0927 0.8883
Ni 0.3779 0.4073 0.8883
Ni 0.6221 0.5927 0.1117
Ni 0.6221 0.9073 0.1117
Ni 0.8779 0.0927 0.6117
Ni 0.8779 0.4073 0.6117

Peak list (12 most intense, 10 to 90 degrees two-theta, in order of falling intensity)
2theta	I (rel.)
35.6	100
36.4	78
35.4	63
32.2	56
31.5	47
35.0	46
39.0	45
30.9	39
29.5	38
51.5	27
27.0	27
47.4	26

(3)
Starting from a structure optimized by DFT (GGA-PBE), the powder diffraction line list of LiAc2Pb6 was simulated for CuKα.
Peak positions follow from Bragg's law for the DFT cell and can differ from measured ones.

a = 8.7179 Å, b = 8.7179 Å, c = 4.9666 Å
α = 90.00°, β = 90.00°, γ = 126.11°
Atoms (fractional coordinates):
Li 0.0000 0.0000 0.0000
Ac 0.2993 0.7007 0.5000
Ac 0.7007 0.2993 0.5000
Pb 0.0514 0.3522 0.0000
Pb 0.2188 0.2188 0.5000
Pb 0.3522 0.0514 0.0000
Pb 0.6478 0.9486 0.0000
Pb 0.7812 0.7812 0.5000
Pb 0.9486 0.6478 0.0000

Peak list (12 most intense, 10 to 90 degrees two-theta, in order of falling intensity)
2theta	I (rel.)
31.1	100
29.2	94
27.3	67
34.6	53
36.2	52
37.2	42
50.9	37
28.9	35
64.4	35
25.3	25
22.5	22
62.6	22

(4)
Starting from a structure optimized by DFT (GGA-PBE), the powder diffraction line list of TePdPb3 was simulated for CuKα.
Peak positions follow from Bragg's law for the DFT cell and can differ from measured ones.

a = 5.4055 Å, b = 5.4055 Å, c = 5.4055 Å
α = 90.00°, β = 90.00°, γ = 90.00°
Atoms (fractional coordinates):
Te 0.0000 0.0000 0.0000
Pd 0.5000 0.5000 0.5000
Pb 0.0000 0.5000 0.5000
Pb 0.5000 0.0000 0.5000
Pb 0.5000 0.5000 0.0000

Peak list (12 most intense, 10 to 90 degrees two-theta, in order of falling intensity)
2theta	I (rel.)
28.6	100
33.1	93
47.6	69
56.5	47
79.3	32
88.6	25
16.4	25
59.2	24
76.9	20
37.2	14
69.6	11
50.7	7

(5)
Starting from a structure optimized by DFT (GGA-PBE), the powder diffraction line list of Ho4GaCu3 was simulated for CuKα.
Peak positions follow from Bragg's law for the DFT cell and can differ from measured ones.

a = 8.5377 Å, b = 8.5377 Å, c = 8.5377 Å
α = 33.48°, β = 33.48°, γ = 33.48°
Atoms (fractional coordinates):
Ho 0.1221 0.1221 0.1221
Ho 0.3726 0.3726 0.3726
Ho 0.6274 0.6274 0.6274
Ho 0.8779 0.8779 0.8779
Ga 0.5000 0.5000 0.5000
Cu 0.0000 0.0000 0.0000
Cu 0.2472 0.2472 0.2472
Cu 0.7528 0.7528 0.7528

Peak list (12 most intense, 10 to 90 degrees two-theta, in order of falling intensity)
2theta	I (rel.)
36.5	100
65.7	26
25.6	19
52.6	17
65.6	8
59.4	8
89.0	8
88.9	7
77.7	5
77.5	5
45.1	4
83.3	3

(6)
Starting from a structure optimized by DFT (GGA-PBE), the powder diffraction line list of TaGe4 was simulated for CuKα.
Peak positions follow from Bragg's law for the DFT cell and can differ from measured ones.

a = 5.0255 Å, b = 5.0255 Å, c = 5.0255 Å
α = 90.00°, β = 90.00°, γ = 90.00°
Atoms (fractional coordinates):
Ta 0.0000 0.0000 0.0000
Ge 0.0000 0.0000 0.5000
Ge 0.0000 0.5000 0.0000
Ge 0.5000 0.0000 0.0000
Ge 0.5000 0.5000 0.5000

Peak list (12 most intense, 10 to 90 degrees two-theta, in order of falling intensity)
2theta	I (rel.)
35.7	100
17.6	78
51.4	70
25.1	69
40.1	40
86.6	32
44.1	31
64.2	24
54.8	20
70.1	16
58.0	14
30.8	13

(7)
Starting from a structure optimized by DFT (GGA-PBE), the powder diffraction line list of Ti12Ga5C2 was simulated for CuKα.
Peak positions follow from Bragg's law for the DFT cell and can differ from measured ones.

a = 8.2052 Å, b = 8.2052 Å, c = 8.2052 Å
α = 135.96°, β = 125.90°, γ = 72.24°
Atoms (fractional coordinates):
Ti 0.1537 0.4046 0.2509
Ti 0.1537 0.9028 0.7491
Ti 0.1793 0.0000 0.1793
Ti 0.2092 0.5000 0.7092
Ti 0.3658 0.1483 0.7824
Ti 0.3658 0.5834 0.2176
Ti 0.6342 0.4166 0.7824
Ti 0.6342 0.8517 0.2176
Ti 0.7908 0.5000 0.2908
Ti 0.8207 0.0000 0.8207
Ti 0.8463 0.0972 0.2509
Ti 0.8463 0.5954 0.7491
Ga 0.0161 0.7593 0.2568
Ga 0.4975 0.2407 0.2568
Ga 0.5000 0.0000 0.5000
Ga 0.5025 0.7593 0.7432
Ga 0.9839 0.2407 0.7432
C 0.0000 0.2620 0.2620
C 0.0000 0.7380 0.7380

Peak list (12 most intense, 10 to 90 degrees two-theta, in order of falling intensity)
2theta	I (rel.)
40.0	100
37.9	92
36.3	82
64.9	29
48.8	24
40.4	24
47.8	17
60.1	17
72.3	17
55.5	14
69.1	14
34.7	14

(8)
Starting from a structure optimized by DFT (GGA-PBE), the powder diffraction line list of La3Nd7Sm was simulated for CuKα.
Peak positions follow from Bragg's law for the DFT cell and can differ from measured ones.

a = 8.7008 Å, b = 8.7008 Å, c = 8.7008 Å
α = 139.39°, β = 97.29°, γ = 96.54°
Atoms (fractional coordinates):
La 0.0000 0.0000 0.0000
La 0.2115 0.5000 0.7115
La 0.7885 0.5000 0.2885
Nd 0.0012 0.7991 0.2021
Nd 0.2081 0.7081 0.5000
Nd 0.4031 0.2009 0.2021
Nd 0.5000 0.5000 0.0000
Nd 0.5969 0.7991 0.7979
Nd 0.7919 0.2919 0.5000
Nd 0.9988 0.2009 0.7979
Sm 0.5000 0.0000 0.5000

Peak list (12 most intense, 10 to 90 degrees two-theta, in order of falling intensity)
2theta	I (rel.)
31.6	100
29.6	41
53.8	22
31.1	17
30.9	16
43.5	14
43.3	13
38.7	11
24.3	10
60.2	10
60.6	10
24.5	9